NaScB4H16: simulated powder X-ray diffraction pattern (a wavelength of 1.5418 Å), based on a PBE-relaxed structure.
Lines closer than 0.1° are merged.

Crystal structure
a b c (Å): 7.150 7.150 8.771
angles (deg): 90.00 90.00 110.98
Fractional coordinates of all 44 atoms:
Na (0.000, 0.000, 0.000)
Na (0.000, 0.000, 0.500)
Sc (0.354, 0.646, 0.750)
Sc (0.646, 0.354, 0.250)
B (0.234, 0.298, 0.750)
B (0.242, 0.758, 0.536)
B (0.242, 0.758, 0.964)
B (0.298, 0.234, 0.250)
B (0.702, 0.766, 0.750)
B (0.758, 0.242, 0.036)
B (0.758, 0.242, 0.464)
B (0.766, 0.702, 0.250)
H (0.100, 0.369, 0.750)
H (0.102, 0.653, 0.617)
H (0.102, 0.653, 0.883)
H (0.117, 0.168, 0.250)
H (0.168, 0.117, 0.750)
H (0.186, 0.814, 0.079)
H (0.186, 0.814, 0.421)
H (0.340, 0.365, 0.637)
H (0.340, 0.365, 0.863)
H (0.344, 0.656, 0.503)
H (0.344, 0.656, 0.997)
H (0.347, 0.898, 0.617)
H (0.347, 0.898, 0.883)
H (0.365, 0.340, 0.137)
H (0.365, 0.340, 0.363)
H (0.369, 0.100, 0.250)
H (0.631, 0.900, 0.750)
H (0.635, 0.660, 0.637)
H (0.635, 0.660, 0.863)
H (0.653, 0.102, 0.117)
H (0.653, 0.102, 0.383)
H (0.656, 0.344, 0.003)
H (0.656, 0.344, 0.497)
H (0.660, 0.635, 0.137)
H (0.660, 0.635, 0.363)
H (0.814, 0.186, 0.579)
H (0.814, 0.186, 0.921)
H (0.832, 0.883, 0.250)
H (0.883, 0.832, 0.750)
H (0.898, 0.347, 0.117)
H (0.898, 0.347, 0.383)
H (0.900, 0.631, 0.250)

Principal peaks in the range 2θ from 15° to 90°, sorted by position:
| 2θ (°) | d_spacing | I_rel |
| --- | --- | --- |
| 16.7 | 5.312 | 1000 |
| 18.1 | 4.891 | 643 |
| 21.9 | 4.051 | 340 |
| 24.3 | 3.665 | 553 |
| 25.2 | 3.534 | 309 |
| 28.6 | 3.120 | 159 |
| 40.0 | 2.256 | 171 |
| 41.2 | 2.192 | 158 |
| 43.2 | 2.094 | 283 |
| 48.9 | 1.863 | 139 |